Entry 1:
For LiFe3Sn2S8, a DFT-relaxed cell (PBE, Alexandria) gives the calculated powder XRD pattern in this record (Cu Kα (weighted mean of Kα1 and Kα2)).
Peak positions follow from Bragg's law for the DFT cell and can differ from measured ones.

Principal peaks in the range 2θ from 5° to 70°, in order of rising 2θ:
- 5.946 Å, intensity 33.9, (0 1 1)
- 5.791 Å, intensity 62.8, (1 0 1)
- 5.083 Å, intensity 18.1, (0 0 2)
- 3.097 Å, intensity 67.3, (1 2 1)
- 3.055 Å, intensity 31.5, (1 0 3)
- 3.030 Å, intensity 17.9, (2 1 1)
- 2.540 Å, intensity 100.0, (2 2 0)
- 2.347 Å, intensity 15.9, (1 2 3)
- 1.969 Å, intensity 16.0, (2 3 1)
- 1.832 Å, intensity 16.0, (0 4 0)
- 1.797 Å, intensity 64.2, (2 2 4)
- 1.761 Å, intensity 16.8, (4 0 0)

Crystal structure
Unit cell a=7.043 b=7.329 c=10.172 alpha=90.00 beta=90.00 gamma=90.00
Space group Imm2 (No. 44)
Symmetry-distinct sites (fractional):
Li  0.000  0.000  0.000
Fe  0.000  0.500  0.266
Fe  0.248  0.500  0.888
Sn  0.000  0.258  0.639
S  0.000  0.220  0.387
S  0.000  0.297  0.889
S  0.241  0.000  0.165
S  0.243  0.500  0.117

---

Entry 2:
For Sc3Br7Cl, a DFT-relaxed cell (PBE, Alexandria) gives the calculated powder XRD pattern in this record (Cu Kα (weighted mean of Kα1 and Kα2)).
Peak positions follow from Bragg's law for the DFT cell and can differ from measured ones.

Principal peaks in the range 2θ from 5° to 70°, in order of rising 2θ:
- 6.926 Å, intensity 30.3, (0 0 1)
- 3.463 Å, intensity 16.5, (0 0 2)
- 3.335 Å, intensity 7.2, (2 2 -1)
- 3.005 Å, intensity 100.0, (4 0 -3)
- 2.402 Å, intensity 40.6, (2 2 1)
- 1.926 Å, intensity 26.3, (0 4 0)
- 1.898 Å, intensity 26.7, (4 0 1)
- 1.683 Å, intensity 11.8, (6 2 -5)
- 1.621 Å, intensity 14.9, (4 4 -3)
- 1.537 Å, intensity 5.8, (2 2 3)
- 1.503 Å, intensity 8.3, (8 0 -2)
- 1.352 Å, intensity 5.5, (4 4 1)

Crystal structure
Unit cell a=13.345 b=7.701 c=9.608 alpha=90.00 beta=133.87 gamma=90.00
Space group Cm (No. 8)
Symmetry-distinct sites (fractional):
Sc  0.000  0.000  0.000
Sc  0.248  0.248  0.000
Br  0.061  0.500  0.781
Br  0.194  0.243  0.221
Br  0.304  0.257  0.781
Br  0.438  0.000  0.220
Br  0.448  0.500  0.233
Cl  0.063  0.000  0.795